(1)
Simulated powder diffractogram of MgV4O7F5 for copper Kα, from a cell relaxed with GGA+U.
Peak positions follow from Bragg's law for the DFT cell and can differ from measured ones.

a b c (Å): 5.173 5.437 8.938
angles (deg): 92.78 105.86 117.88
Space group P1 (No. 1)
Inequivalent atoms, fractional coordinates:
Mg 0.000 0.000 0.000 [1 per cell]
V 0.198 0.941 0.404 [1 per cell]
V 0.273 0.558 0.920 [1 per cell]
V 0.671 0.242 0.173 [1 per cell]
V 0.733 0.704 0.650 [1 per cell]
O 0.035 0.623 0.281 [1 per cell]
O 0.327 0.876 0.031 [1 per cell]
O 0.420 0.395 0.070 [1 per cell]
O 0.553 0.158 0.333 [1 per cell]
O 0.593 0.691 0.842 [1 per cell]
O 0.861 0.820 0.496 [1 per cell]
O 0.962 0.570 0.734 [1 per cell]
F 0.037 0.094 0.784 [1 per cell]
F 0.366 0.354 0.536 [1 per cell]
F 0.445 0.887 0.586 [1 per cell]
F 0.856 0.295 0.991 [1 per cell]
F 0.955 0.056 0.219 [1 per cell]

Most intense lines, 2θ = 10–80°, in order of falling intensity:
| d (Å) | 2θ (°) | intensity | h k l |
| --- | --- | --- | --- |
| 3.730 | 23.85 | 100 | 1 -1 1 |
| 3.783 | 23.52 | 92 | 0 1 1 |
| 3.690 | 24.12 | 91 | 1 0 -2 |
| 1.865 | 48.83 | 21 | 2 -2 2 |
| 2.245 | 40.17 | 20 | 2 -2 0 |
| 1.891 | 48.10 | 19 | 0 2 2 |
| 2.663 | 33.66 | 19 | 0 1 -3 |
| 2.735 | 32.75 | 18 | 1 1 -1 |
| 1.845 | 49.39 | 17 | 2 0 -4 |
| 2.604 | 34.44 | 17 | 1 0 2 |

***

(2)
Simulated powder diffractogram of MgV4O7F5 for copper Kα, from a cell relaxed with GGA+U.
Peak positions follow from Bragg's law for the DFT cell and can differ from measured ones.

a b c (Å): 5.162 5.424 8.975
angles (deg): 73.16 89.54 62.37
Space group P1 (No. 1)
Inequivalent atoms, fractional coordinates:
Mg 0.000 0.000 0.000 [1 per cell]
V 0.011 0.923 0.381 [1 per cell]
V 0.335 0.381 0.123 [1 per cell]
V 0.589 0.835 0.853 [1 per cell]
V 0.703 0.413 0.597 [1 per cell]
O 0.430 0.670 0.029 [1 per cell]
O 0.431 0.646 0.441 [1 per cell]
O 0.594 0.135 0.284 [1 per cell]
O 0.595 0.603 0.736 [1 per cell]
O 0.622 0.134 0.681 [1 per cell]
O 0.951 0.656 0.944 [1 per cell]
O 0.986 0.155 0.479 [1 per cell]
F 0.050 0.680 0.220 [1 per cell]
F 0.087 0.149 0.166 [1 per cell]
F 0.136 0.132 0.801 [1 per cell]
F 0.560 0.153 0.983 [1 per cell]
F 0.951 0.627 0.529 [1 per cell]

Most intense lines, 2θ = 10–80°, in order of falling intensity:
| d (Å) | 2θ (°) | intensity | h k l |
| --- | --- | --- | --- |
| 3.768 | 23.61 | 100 | 0 1 2 |
| 3.697 | 24.07 | 48 | 1 1 -1 |
| 2.702 | 33.15 | 24 | 0 1 -2 |
| 2.260 | 39.89 | 20 | 2 0 0 |
| 1.884 | 48.31 | 19 | 0 2 4 |
| 1.691 | 54.25 | 14 | 1 2 -3 |
| 1.848 | 49.30 | 13 | 2 2 -2 |
| 2.579 | 34.78 | 11 | 1 0 -3 |
| 1.721 | 53.21 | 11 | 2 -1 0 |
| 2.226 | 40.52 | 9 | 1 1 -3 |

***

(3)
Simulated powder diffractogram of MgV4O7F5 for copper Kα, from a cell relaxed with GGA+U.
Peak positions follow from Bragg's law for the DFT cell and can differ from measured ones.

a b c (Å): 5.264 5.627 7.263
angles (deg): 92.19 90.46 92.61
Space group P1 (No. 1)
Inequivalent atoms, fractional coordinates:
Mg 0.000 0.000 0.000 [1 per cell]
V 0.488 0.926 0.783 [1 per cell]
V 0.510 0.847 0.276 [1 per cell]
V 0.949 0.437 0.789 [1 per cell]
V 0.986 0.369 0.293 [1 per cell]
O 0.308 0.155 0.838 [1 per cell]
O 0.311 0.604 0.253 [1 per cell]
O 0.449 0.893 0.550 [1 per cell]
O 0.636 0.885 0.024 [1 per cell]
O 0.695 0.586 0.742 [1 per cell]
O 0.752 0.164 0.338 [1 per cell]
O 0.946 0.356 0.034 [1 per cell]
F 0.121 0.411 0.552 [1 per cell]
F 0.178 0.722 0.865 [1 per cell]
F 0.221 0.074 0.226 [1 per cell]
F 0.820 0.671 0.330 [1 per cell]
F 0.822 0.093 0.742 [1 per cell]

Most intense lines, 2θ = 10–80°, in order of falling intensity:
| d (Å) | 2θ (°) | intensity | h k l |
| --- | --- | --- | --- |
| 3.930 | 22.63 | 100 | 1 -1 0 |
| 3.754 | 23.70 | 99 | 1 1 0 |
| 3.628 | 24.53 | 91 | 0 0 2 |
| 2.653 | 33.79 | 28 | 1 1 -2 |
| 1.877 | 48.50 | 22 | 2 2 0 |
| 2.692 | 33.28 | 22 | 1 -1 2 |
| 1.814 | 50.29 | 21 | 0 0 4 |
| 1.965 | 46.20 | 20 | 2 -2 0 |
| 2.809 | 31.86 | 17 | 0 2 0 |
| 2.364 | 38.07 | 15 | -1 2 1 |

***

(4)
Simulated powder diffractogram of MgV4O7F5 for copper Kα, from a cell relaxed with GGA+U.
Peak positions follow from Bragg's law for the DFT cell and can differ from measured ones.

a b c (Å): 5.296 5.660 7.175
angles (deg): 92.92 90.70 91.70
Space group P1 (No. 1)
Inequivalent atoms, fractional coordinates:
Mg 0.000 0.000 0.000 [1 per cell]
V 0.043 0.573 0.222 [1 per cell]
V 0.475 0.147 0.728 [1 per cell]
V 0.514 0.079 0.219 [1 per cell]
V 0.961 0.603 0.706 [1 per cell]
O 0.041 0.642 0.961 [1 per cell]
O 0.303 0.427 0.259 [1 per cell]
O 0.359 0.117 0.983 [1 per cell]
O 0.543 0.113 0.456 [1 per cell]
O 0.669 0.392 0.756 [1 per cell]
O 0.696 0.849 0.165 [1 per cell]
O 0.901 0.605 0.467 [1 per cell]
F 0.159 0.313 0.682 [1 per cell]
F 0.180 0.913 0.258 [1 per cell]
F 0.265 0.843 0.677 [1 per cell]
F 0.774 0.930 0.774 [1 per cell]
F 0.820 0.281 0.143 [1 per cell]

Most intense lines, 2θ = 10–80°, in order of falling intensity:
| d (Å) | 2θ (°) | intensity | h k l |
| --- | --- | --- | --- |
| 3.923 | 22.67 | 100 | 1 -1 0 |
| 3.805 | 23.38 | 96 | 1 1 0 |
| 3.583 | 24.85 | 93 | 0 0 2 |
| 1.791 | 50.98 | 34 | 0 0 4 |
| 1.903 | 47.80 | 31 | 2 2 0 |
| 2.679 | 33.45 | 24 | 1 -1 2 |
| 2.668 | 33.59 | 23 | 1 1 -2 |
| 1.961 | 46.29 | 20 | 2 -2 0 |
| 2.825 | 31.67 | 19 | 0 2 0 |
| 1.758 | 52.03 | 18 | 1 3 0 |

***

(5)
Simulated powder diffractogram of MgV6O5F19 for copper Kα, from a cell relaxed with GGA+U.
Peak positions follow from Bragg's law for the DFT cell and can differ from measured ones.

a b c (Å): 5.356 5.421 15.502
angles (deg): 80.88 89.80 88.59
Space group P1 (No. 1)
Inequivalent atoms, fractional coordinates:
Mg 0.000 0.000 0.000 [1 per cell]
V 0.254 0.351 0.841 [1 per cell]
V 0.268 0.942 0.517 [1 per cell]
V 0.277 0.630 0.193 [1 per cell]
V 0.693 0.830 0.839 [1 per cell]
V 0.721 0.437 0.517 [1 per cell]
V 0.746 0.159 0.196 [1 per cell]
O 0.453 0.711 0.495 [1 per cell]
O 0.468 0.057 0.827 [1 per cell]
O 0.478 0.393 0.172 [1 per cell]
O 0.536 0.558 0.836 [1 per cell]
O 0.544 0.208 0.496 [1 per cell]
F 0.019 0.276 0.546 [1 per cell]
F 0.035 0.930 0.203 [1 per cell]
F 0.043 0.619 0.869 [1 per cell]
F 0.166 0.400 0.731 [1 per cell]
F 0.170 0.087 0.412 [1 per cell]
F 0.177 0.734 0.069 [1 per cell]
F 0.283 0.235 0.963 [1 per cell]
F 0.307 0.615 0.309 [1 per cell]
F 0.339 0.953 0.628 [1 per cell]
F 0.536 0.891 0.172 [1 per cell]
F 0.659 0.459 0.628 [1 per cell]
F 0.694 0.086 0.308 [1 per cell]
F 0.719 0.804 0.962 [1 per cell]
F 0.824 0.204 0.073 [1 per cell]
F 0.827 0.573 0.412 [1 per cell]
F 0.832 0.886 0.735 [1 per cell]
F 0.963 0.117 0.869 [1 per cell]
F 0.969 0.427 0.208 [1 per cell]
F 0.979 0.783 0.544 [1 per cell]

Most intense lines, 2θ = 10–80°, in order of falling intensity:
| d (Å) | 2θ (°) | intensity | h k l |
| --- | --- | --- | --- |
| 5.102 | 17.38 | 100 | 0 0 3 |
| 3.622 | 24.58 | 49 | 1 1 -1 |
| 3.543 | 25.13 | 48 | 1 -1 1 |
| 3.518 | 25.32 | 46 | -1 1 2 |
| 3.593 | 24.78 | 46 | 1 1 2 |
| 1.928 | 47.14 | 18 | 2 2 1 |
| 2.551 | 35.18 | 17 | 0 0 6 |
| 1.881 | 48.38 | 15 | -2 2 1 |
| 2.709 | 33.07 | 12 | 0 2 1 |
| 1.812 | 50.36 | 11 | 1 1 -7 |

***

(6)
Simulated powder diffractogram of MgV6O5F19 for copper Kα, from a cell relaxed with GGA+U.
Peak positions follow from Bragg's law for the DFT cell and can differ from measured ones.

a b c (Å): 5.276 5.516 15.430
angles (deg): 79.79 89.37 88.50
Space group P1 (No. 1)
Inequivalent atoms, fractional coordinates:
Mg 0.000 0.000 0.000 [1 per cell]
V 0.439 0.479 0.772 [1 per cell]
V 0.494 0.846 0.112 [1 per cell]
V 0.510 0.255 0.435 [1 per cell]
V 0.936 0.991 0.759 [1 per cell]
V 0.963 0.750 0.434 [1 per cell]
V 0.967 0.398 0.109 [1 per cell]
O 0.256 0.244 0.795 [1 per cell]
O 0.693 0.497 0.414 [1 per cell]
O 0.708 0.815 0.742 [1 per cell]
O 0.775 0.998 0.411 [1 per cell]
O 0.810 0.691 0.073 [1 per cell]
F 0.066 0.360 0.992 [1 per cell]
F 0.067 0.707 0.328 [1 per cell]
F 0.084 0.077 0.654 [1 per cell]
F 0.169 0.040 0.124 [1 per cell]
F 0.198 0.733 0.795 [1 per cell]
F 0.210 0.389 0.464 [1 per cell]
F 0.254 0.883 0.461 [1 per cell]
F 0.287 0.539 0.132 [1 per cell]
F 0.358 0.892 0.994 [1 per cell]
F 0.388 0.580 0.658 [1 per cell]
F 0.399 0.225 0.329 [1 per cell]
F 0.572 0.126 0.546 [1 per cell]
F 0.574 0.821 0.225 [1 per cell]
F 0.575 0.486 0.877 [1 per cell]
F 0.697 0.158 0.075 [1 per cell]
F 0.744 0.306 0.742 [1 per cell]
F 0.888 0.985 0.883 [1 per cell]
F 0.889 0.635 0.546 [1 per cell]
F 0.893 0.300 0.221 [1 per cell]

Most intense lines, 2θ = 10–80°, in order of falling intensity:
| d (Å) | 2θ (°) | intensity | h k l |
| --- | --- | --- | --- |
| 5.062 | 17.52 | 100 | 0 0 3 |
| 3.527 | 25.25 | 77 | 1 -1 1 |
| 3.608 | 24.68 | 77 | 1 1 -1 |
| 2.289 | 39.36 | 17 | -2 1 2 |
| 2.757 | 32.48 | 14 | 0 2 1 |
| 1.881 | 48.39 | 12 | -2 2 1 |
| 1.931 | 47.06 | 10 | 2 2 1 |
| 2.531 | 35.46 | 10 | 0 0 6 |
| 1.687 | 54.38 | 9 | 0 0 9 |
| 2.341 | 38.46 | 7 | 2 1 2 |

***

(7)
Simulated powder diffractogram of MgV2O2F6 for copper Kα, from a cell relaxed with GGA+U.
Peak positions follow from Bragg's law for the DFT cell and can differ from measured ones.

a b c (Å): 9.815 6.389 5.133
angles (deg): 90.00 91.63 90.00
Space group C2 (No. 5)
Inequivalent atoms, fractional coordinates:
Mg 0.000 0.000 0.000 [2 per cell]
V 0.000 0.284 0.500 [2 per cell]
V 0.000 0.531 0.000 [2 per cell]
O 0.094 0.470 0.708 [4 per cell]
F 0.095 0.054 0.678 [4 per cell]
F 0.111 0.271 0.179 [4 per cell]
F 0.111 0.754 0.125 [4 per cell]

Most intense lines, 2θ = 10–80°, in order of falling intensity:
| d (Å) | 2θ (°) | intensity | h k l |
| --- | --- | --- | --- |
| 4.906 | 18.08 | 100 | 2 0 0 |
| 2.358 | 38.16 | 47 | 2 2 1 |
| 5.354 | 16.56 | 37 | 1 1 0 |
| 3.733 | 23.83 | 24 | 1 1 -1 |
| 1.806 | 50.55 | 22 | 4 2 1 |
| 2.300 | 39.16 | 21 | 2 0 -2 |
| 3.676 | 24.21 | 17 | 1 1 1 |
| 1.799 | 50.76 | 11 | 4 0 -2 |
| 1.508 | 61.50 | 11 | 0 2 3 |
| 1.410 | 66.30 | 8 | 6 2 -1 |

***

(8)
Simulated powder diffractogram of MgV2O2F6 for copper Kα, from a cell relaxed with GGA+U.
Peak positions follow from Bragg's law for the DFT cell and can differ from measured ones.

a b c (Å): 5.386 5.434 6.024
angles (deg): 64.72 89.48 87.68
Space group P1 (No. 1)
Inequivalent atoms, fractional coordinates:
Mg 0.000 0.000 0.000 [1 per cell]
V 0.284 0.059 0.446 [1 per cell]
V 0.769 0.505 0.436 [1 per cell]
O 0.486 0.284 0.453 [1 per cell]
O 0.983 0.293 0.390 [1 per cell]
F 0.021 0.791 0.389 [1 per cell]
F 0.183 0.879 0.784 [1 per cell]
F 0.281 0.152 0.098 [1 per cell]
F 0.527 0.756 0.503 [1 per cell]
F 0.722 0.751 0.092 [1 per cell]
F 0.819 0.330 0.791 [1 per cell]

Most intense lines, 2θ = 10–80°, in order of falling intensity:
| d (Å) | 2θ (°) | intensity | h k l |
| --- | --- | --- | --- |
| 5.447 | 16.27 | 100 | 0 0 1 |
| 3.531 | 25.23 | 63 | -1 1 1 |
| 3.643 | 24.43 | 61 | 1 1 1 |
| 3.556 | 25.04 | 61 | 1 -1 0 |
| 3.702 | 24.04 | 59 | 1 1 0 |
| 1.874 | 48.59 | 36 | -2 2 1 |
| 2.724 | 32.89 | 35 | 0 0 2 |
| 1.950 | 46.57 | 33 | 2 2 1 |
| 1.816 | 50.25 | 17 | 0 0 3 |
| 1.893 | 48.06 | 15 | 1 -1 2 |

***

(9)
Simulated powder diffractogram of MgV4O7F5 for copper Kα, from a cell relaxed with GGA+U.
Peak positions follow from Bragg's law for the DFT cell and can differ from measured ones.

a b c (Å): 5.237 5.304 8.972
angles (deg): 73.98 89.68 63.56
Space group P1 (No. 1)
Inequivalent atoms, fractional coordinates:
Mg 0.000 0.000 0.000 [1 per cell]
V 0.154 0.605 0.400 [1 per cell]
V 0.458 0.125 0.168 [1 per cell]
V 0.613 0.631 0.879 [1 per cell]
V 0.839 0.136 0.637 [1 per cell]
O 0.251 0.825 0.844 [1 per cell]
O 0.256 0.319 0.285 [1 per cell]
O 0.573 0.388 0.489 [1 per cell]
O 0.664 0.315 0.068 [1 per cell]
O 0.738 0.866 0.714 [1 per cell]
O 0.754 0.314 0.787 [1 per cell]
O 0.805 0.831 0.312 [1 per cell]
F 0.095 0.346 0.577 [1 per cell]
F 0.123 0.883 0.524 [1 per cell]
F 0.181 0.279 0.981 [1 per cell]
F 0.281 0.830 0.207 [1 per cell]
F 0.731 0.812 0.019 [1 per cell]

Most intense lines, 2θ = 10–80°, in order of falling intensity:
| d (Å) | 2θ (°) | intensity | h k l |
| --- | --- | --- | --- |
| 3.866 | 23.01 | 100 | 1 0 1 |
| 3.725 | 23.89 | 98 | 0 1 2 |
| 3.678 | 24.20 | 98 | 1 1 -1 |
| 2.771 | 32.30 | 33 | -1 1 1 |
| 2.718 | 32.95 | 26 | 0 1 -2 |
| 1.862 | 48.90 | 23 | 0 2 4 |
| 2.591 | 34.62 | 21 | 1 0 -3 |
| 1.839 | 49.57 | 20 | 2 2 -2 |
| 1.933 | 47.01 | 20 | 2 0 2 |
| 1.686 | 54.42 | 18 | 1 2 -3 |

***

(10)
Simulated powder diffractogram of MgV4O7F5 for copper Kα, from a cell relaxed with GGA+U.
Peak positions follow from Bragg's law for the DFT cell and can differ from measured ones.

a b c (Å): 5.264 5.632 7.159
angles (deg): 87.00 88.81 89.88
Space group P1 (No. 1)
Inequivalent atoms, fractional coordinates:
Mg 0.000 0.000 0.000 [1 per cell]
V 0.039 0.572 0.777 [1 per cell]
V 0.436 0.136 0.286 [1 per cell]
V 0.516 0.076 0.780 [1 per cell]
V 0.972 0.598 0.294 [1 per cell]
O 0.048 0.640 0.038 [1 per cell]
O 0.182 0.315 0.321 [1 per cell]
O 0.301 0.417 0.740 [1 per cell]
O 0.365 0.105 0.018 [1 per cell]
O 0.551 0.109 0.539 [1 per cell]
O 0.709 0.845 0.830 [1 per cell]
O 0.893 0.602 0.531 [1 per cell]
F 0.188 0.908 0.738 [1 per cell]
F 0.272 0.822 0.330 [1 per cell]
F 0.676 0.400 0.227 [1 per cell]
F 0.779 0.937 0.227 [1 per cell]
F 0.819 0.281 0.855 [1 per cell]

Most intense lines, 2θ = 10–80°, in order of falling intensity:
| d (Å) | 2θ (°) | intensity | h k l |
| --- | --- | --- | --- |
| 3.843 | 23.14 | 100 | 1 -1 0 |
| 3.574 | 24.91 | 47 | 0 0 2 |
| 1.922 | 47.30 | 23 | 2 2 0 |
| 2.687 | 33.35 | 12 | 1 1 2 |
| 2.812 | 31.82 | 11 | 0 2 0 |
| 1.787 | 51.11 | 11 | 0 0 4 |
| 2.644 | 33.91 | 9 | -1 1 2 |
| 1.730 | 52.91 | 9 | 2 2 2 |
| 1.767 | 51.74 | 9 | 1 3 0 |
| 3.413 | 26.11 | 8 | -1 1 1 |

***

(11)
Simulated powder diffractogram of MgV6O5F19 for copper Kα, from a cell relaxed with GGA+U.
Peak positions follow from Bragg's law for the DFT cell and can differ from measured ones.

a b c (Å): 5.337 5.443 15.629
angles (deg): 80.13 89.37 87.93
Space group P1 (No. 1)
Inequivalent atoms, fractional coordinates:
Mg 0.000 0.000 0.000 [1 per cell]
V 0.189 0.644 0.159 [1 per cell]
V 0.253 0.356 0.805 [1 per cell]
V 0.295 0.056 0.491 [1 per cell]
V 0.737 0.164 0.164 [1 per cell]
V 0.766 0.829 0.805 [1 per cell]
V 0.804 0.554 0.480 [1 per cell]
O 0.030 0.743 0.455 [1 per cell]
O 0.034 0.391 0.147 [1 per cell]
O 0.458 0.278 0.515 [1 per cell]
O 0.955 0.882 0.142 [1 per cell]
O 0.982 0.586 0.798 [1 per cell]
F 0.028 0.092 0.788 [1 per cell]
F 0.151 0.931 0.591 [1 per cell]
F 0.179 0.258 0.928 [1 per cell]
F 0.210 0.612 0.272 [1 per cell]
F 0.283 0.759 0.040 [1 per cell]
F 0.344 0.407 0.696 [1 per cell]
F 0.352 0.066 0.379 [1 per cell]
F 0.453 0.974 0.169 [1 per cell]
F 0.476 0.604 0.835 [1 per cell]
F 0.530 0.107 0.834 [1 per cell]
F 0.530 0.467 0.161 [1 per cell]
F 0.551 0.788 0.513 [1 per cell]
F 0.651 0.561 0.379 [1 per cell]
F 0.652 0.920 0.696 [1 per cell]
F 0.734 0.223 0.040 [1 per cell]
F 0.802 0.116 0.275 [1 per cell]
F 0.831 0.809 0.930 [1 per cell]
F 0.848 0.439 0.592 [1 per cell]
F 0.984 0.250 0.458 [1 per cell]

Most intense lines, 2θ = 10–80°, in order of falling intensity:
| d (Å) | 2θ (°) | intensity | h k l |
| --- | --- | --- | --- |
| 5.132 | 17.28 | 100 | 0 0 3 |
| 3.628 | 24.53 | 93 | 1 1 -1 |
| 3.515 | 25.34 | 91 | 1 -1 1 |
| 2.566 | 34.97 | 19 | 0 0 6 |
| 1.814 | 50.29 | 18 | 1 1 -7 |
| 1.871 | 48.68 | 18 | -2 2 1 |
| 1.711 | 53.56 | 16 | 0 0 9 |
| 1.939 | 46.85 | 15 | 2 2 1 |
| 2.720 | 32.93 | 12 | 0 2 1 |
| 2.306 | 39.07 | 10 | 2 -1 1 |